PPbBr2F: theoretical powder diffraction line list (Cu Kα (λ = 1.5418 Å)), based on a structure optimized by DFT (GGA-PBE).
Intensities are scaled so that the largest is 100.

The 8 most intense peaks (2θ = 10–90°), low angle first:
| 2θ (°) | d [Å] | intensity |
| --- | --- | --- |
| 13.12 | 6.750 | 100.0 |
| 21.22 | 4.188 | 90.1 |
| 22.23 | 3.999 | 60.5 |
| 26.41 | 3.375 | 65.1 |
| 27.55 | 3.237 | 79.1 |
| 29.90 | 2.989 | 53.9 |
| 31.93 | 2.803 | 49.1 |
| 34.92 | 2.570 | 52.7 |

Atomic structure:
```
5
Lattice="5.235 -2.362 0.000 5.235 2.362 0.000 -3.919 0.000 6.750" Properties=species:S:1:pos:R:3 pbc="T T T"
P 0.000 0.000 0.000
Pb 5.501 0.000 1.688
Br 2.616 0.000 2.097
Br 4.765 0.000 5.393
F -2.751 0.000 5.626
```


Cu2Ag2PdAu4: theoretical powder diffraction line list (Cu Kα (λ = 1.5418 Å)), based on a structure optimized by DFT (GGA-PBE).
Intensities are scaled so that the largest is 100.

The 8 most intense peaks (2θ = 10–90°), low angle first:
| 2θ (°) | d [Å] | intensity |
| --- | --- | --- |
| 36.39 | 2.469 | 39.7 |
| 37.51 | 2.398 | 31.0 |
| 40.17 | 2.245 | 100.0 |
| 42.17 | 2.143 | 55.4 |
| 53.26 | 1.720 | 21.0 |
| 65.49 | 1.425 | 28.1 |
| 68.06 | 1.378 | 20.6 |
| 77.98 | 1.225 | 22.2 |

Atomic structure:
```
9
Lattice="2.851 0.000 0.000 -1.425 2.469 0.000 0.000 0.000 21.581" Properties=species:S:1:pos:R:3 pbc="T T T"
Cu 0.000 0.000 0.000
Cu 0.000 0.000 4.140
Ag 0.000 0.000 8.853
Ag 0.000 1.646 16.458
Pd 0.000 1.646 2.067
Au 0.000 0.000 13.955
Au 0.000 0.000 18.988
Au 0.000 1.646 6.340
Au 0.000 1.646 11.349
```


Ba2NpNO3: theoretical powder diffraction line list (Cu Kα (λ = 1.5418 Å)), based on a structure optimized by DFT (GGA-PBE).
Intensities are scaled so that the largest is 100.

The 8 most intense peaks (2θ = 10–90°), low angle first:
| 2θ (°) | d [Å] | intensity |
| --- | --- | --- |
| 12.90 | 6.862 | 41.6 |
| 28.06 | 3.180 | 83.6 |
| 28.50 | 3.132 | 82.7 |
| 28.97 | 3.082 | 100.0 |
| 40.81 | 2.211 | 24.8 |
| 49.64 | 1.837 | 32.9 |
| 50.52 | 1.806 | 35.3 |
| 51.32 | 1.780 | 32.8 |

Atomic structure:
```
7
Lattice="-2.149 2.211 6.862 2.149 -2.211 6.862 2.149 2.211 -6.862" Properties=species:S:1:pos:R:3 pbc="T T T"
Ba 0.000 0.000 2.007
Ba 0.000 0.000 11.716
Np 0.000 0.000 6.862
N 0.000 2.211 0.000
O 2.149 0.000 0.000
O 0.000 0.000 4.672
O 0.000 0.000 9.051
```